Starting from a structure optimized by DFT (GGA-PBE), the X-ray diffraction stick pattern of Sr6La2Ta3Al5O24 was calculated for λ = 1.5418 Å (Cu Kα).
Neutral-atom scattering factors, no anomalous dispersion.

The 8 most intense peaks (2θ from 10° to 80°), by angle:
2θ 19.70, I = 25, (0 0 12); 2θ 32.44, I = 100, (1 1 0); 2θ 38.24, I = 15, (1 1 12); 2θ 46.54, I = 34, (0 2 16); 2θ 57.90, I = 30, (3 0 0); 2θ 67.86, I = 10, (2 0 32); 2θ 68.00, I = 10, (2 2 0); 2θ 77.31, I = 17, (1 3 16)

Cell and atoms:
Unit cell a=5.5147 b=5.5147 c=54.1777 alpha=90.00 beta=90.00 gamma=120.00
Space group R-3m (No. 166, hexagonal axes)
Unique sites:
Sr: 0.0000 0.0000 0.0599 [6 per cell]
Sr: 0.0000 0.0000 0.1877 [6 per cell]
Sr: 0.0000 0.0000 0.4371 [6 per cell]
La: 0.0000 0.0000 0.3146 [6 per cell]
Ta: 0.0000 0.0000 0.2505 [6 per cell]
Ta: 0.0000 0.0000 0.5000 [3 per cell]
Al: 0.0000 0.0000 0.0000 [3 per cell]
Al: 0.0000 0.0000 0.1245 [6 per cell]
Al: 0.0000 0.0000 0.3737 [6 per cell]
O: 0.0037 0.5018 0.0609 [18 per cell]
O: 0.0049 0.5025 0.3135 [18 per cell]
O: 0.0059 0.5030 0.5627 [18 per cell]
O: 0.0061 0.5030 0.8119 [18 per cell]

=====

Starting from a structure optimized by DFT (GGA-PBE), the X-ray diffraction stick pattern of Sr3LaTaAl3O12 was calculated for λ = 1.5418 Å (Cu Kα).
Neutral-atom scattering factors, no anomalous dispersion.

The 8 most intense peaks (2θ from 10° to 80°), by angle:
2θ 19.79, I = 17, (0 2 1); 2θ 25.65, I = 16, (2 2 1); 2θ 32.57, I = 100, (0 4 0); 2θ 32.72, I = 20, (4 0 0); 2θ 46.84, I = 29, (4 4 0); 2θ 58.13, I = 16, (2 6 2); 2θ 58.31, I = 16, (6 2 2); 2θ 68.23, I = 21, (0 8 0)

Cell and atoms:
Unit cell a=10.948 b=10.994 c=7.794 alpha=90.00 beta=90.00 gamma=90.00
Space group Cmmm (No. 65)
Unique sites:
Sr: 0.000 0.000 0.235 [4 per cell]
Sr: 0.250 0.250 0.237 [8 per cell]
La: 0.000 0.500 0.237 [4 per cell]
Ta: 0.000 0.247 0.500 [4 per cell]
Al: 0.000 0.248 0.000 [4 per cell]
Al: 0.249 0.000 0.000 [4 per cell]
Al: 0.249 0.500 0.500 [4 per cell]
O: 0.000 0.253 0.245 [8 per cell]
O: 0.120 0.378 0.000 [8 per cell]
O: 0.124 0.380 0.500 [8 per cell]
O: 0.126 0.126 0.000 [8 per cell]
O: 0.129 0.123 0.500 [8 per cell]
O: 0.243 0.500 0.249 [8 per cell]

=====

Starting from a structure optimized by DFT (GGA-PBE), the X-ray diffraction stick pattern of La3AlOs3 was calculated for λ = 1.5418 Å (Cu Kα).
Neutral-atom scattering factors, no anomalous dispersion.

The 8 most intense peaks (2θ from 10° to 80°), by angle:
2θ 17.53, I = 66, (0 2 1); 2θ 21.36, I = 85, (1 1 0); 2θ 32.35, I = 99, (1 3 1); 2θ 37.48, I = 100, (1 3 3); 2θ 38.54, I = 95, (0 4 3); 2θ 39.69, I = 61, (0 0 6); 2θ 40.07, I = 84, (2 0 0); 2θ 56.81, I = 62, (2 4 3)

Cell and atoms:
Unit cell a=4.500 b=10.897 c=13.625 alpha=90.00 beta=90.00 gamma=90.00
Space group Cmcm (No. 63)
Unique sites:
La: 0.000 0.019 0.250 [4 per cell]
La: 0.000 0.273 0.607 [8 per cell]
Al: 0.000 0.000 0.000 [4 per cell]
Os: 0.000 0.341 0.250 [4 per cell]
Os: 0.000 0.436 0.084 [8 per cell]

=====

Starting from a structure optimized by DFT (GGA-PBE), the X-ray diffraction stick pattern of LaAl3Os was calculated for λ = 1.5418 Å (Cu Kα).
Neutral-atom scattering factors, no anomalous dispersion.

The 8 most intense peaks (2θ from 10° to 80°), by angle:
2θ 17.57, I = 26, (1 0 1); 2θ 27.38, I = 100, (1 1 0); 2θ 28.51, I = 53, (1 0 3); 2θ 35.57, I = 49, (2 0 2); 2θ 39.94, I = 34, (2 0 3); 2θ 43.16, I = 27, (1 0 5); 2θ 45.46, I = 24, (2 0 4); 2θ 56.50, I = 23, (2 2 0)

Cell and atoms:
Unit cell a=6.5151 b=6.5151 c=11.2878 alpha=90.00 beta=90.00 gamma=120.00
Space group P6_3/mmc (No. 194)
Unique sites:
La: 0.0000 0.0000 0.0000 [2 per cell]
La: 0.3333 0.6667 0.2500 [2 per cell]
Al: 0.0000 0.5000 0.0000 [6 per cell]
Al: 0.1425 0.2850 0.7500 [6 per cell]
Os: 0.3333 0.6667 0.6264 [4 per cell]

=====

Starting from a structure optimized by DFT (GGA-PBE), the X-ray diffraction stick pattern of LaPaAl2 was calculated for λ = 1.5418 Å (Cu Kα).
Neutral-atom scattering factors, no anomalous dispersion.

The 8 most intense peaks (2θ from 10° to 80°), by angle:
2θ 22.37, I = 95, (1 1 0); 2θ 28.80, I = 26, (0 0 1); 2θ 31.84, I = 74, (2 0 0); 2θ 36.77, I = 100, (1 1 1); 2θ 43.46, I = 35, (2 0 1); 2θ 45.65, I = 27, (2 2 0); 2θ 51.40, I = 22, (3 1 0); 2θ 59.99, I = 49, (3 1 1)

Cell and atoms:
Unit cell a=5.621 b=5.621 c=3.099 alpha=90.00 beta=90.00 gamma=90.00
Space group P4/mmm (No. 123)
Unique sites:
La: 0.000 0.000 0.000 [1 per cell]
Pa: 0.500 0.500 0.000 [1 per cell]
Al: 0.000 0.500 0.500 [2 per cell]

=====

Starting from a structure optimized by DFT (GGA-PBE), the X-ray diffraction stick pattern of La2AlSnPb was calculated for λ = 1.5418 Å (Cu Kα).
Neutral-atom scattering factors, no anomalous dispersion.

The 8 most intense peaks (2θ from 10° to 80°), by angle:
2θ 25.56, I = 54, (1 1 1); 2θ 30.31, I = 100, (1 2 1); 2θ 30.84, I = 48, (0 2 2); 2θ 33.40, I = 33, (1 1 2); 2θ 37.01, I = 32, (0 0 3); 2θ 37.51, I = 36, (0 4 0); 2θ 41.43, I = 24, (2 0 0); 2θ 52.53, I = 22, (2 2 2)

Cell and atoms:
Unit cell a=4.359 b=9.588 c=7.283 alpha=90.00 beta=90.00 gamma=90.00
Space group Pmmn (No. 59, origin choice 2)
Unique sites:
La: 0.250 0.016 0.229 [4 per cell]
Al: 0.250 0.750 0.921 [2 per cell]
Sn: 0.250 0.250 0.847 [2 per cell]
Pb: 0.250 0.750 0.532 [2 per cell]

=====

Starting from a structure optimized by DFT (GGA-PBE), the X-ray diffraction stick pattern of La4AlPd was calculated for λ = 1.5418 Å (Cu Kα).
Neutral-atom scattering factors, no anomalous dispersion.

The 8 most intense peaks (2θ from 10° to 80°), by angle:
2θ 30.23, I = 23, (0 0 3); 2θ 30.50, I = 63, (1 2 -1); 2θ 31.91, I = 67, (0 2 2); 2θ 32.17, I = 100, (1 0 -3); 2θ 32.91, I = 40, (2 0 0); 2θ 36.70, I = 33, (1 0 3); 2θ 50.42, I = 20, (0 4 0); 2θ 52.76, I = 24, (2 3 1)

Cell and atoms:
Unit cell a=5.508 b=7.241 c=8.969 alpha=90.00 beta=98.60 gamma=90.00
Space group P2_1/m (No. 11)
Unique sites:
La: 0.164 0.250 0.052 [2 per cell]
La: 0.215 0.750 0.379 [2 per cell]
La: 0.319 0.523 0.723 [4 per cell]
Al: 0.231 0.250 0.416 [2 per cell]
Pd: 0.343 0.750 0.058 [2 per cell]

=====

Starting from a structure optimized by DFT (GGA-PBE), the X-ray diffraction stick pattern of La3Al2Pd2 was calculated for λ = 1.5418 Å (Cu Kα).
Neutral-atom scattering factors, no anomalous dispersion.

The 8 most intense peaks (2θ from 10° to 80°), by angle:
2θ 22.38, I = 38, (1 1 2); 2θ 31.86, I = 54, (1 1 4); 2θ 32.40, I = 44, (1 2 3); 2θ 33.46, I = 44, (0 2 4); 2θ 34.99, I = 67, (1 3 0); 2θ 37.66, I = 100, (2 1 3); 2θ 39.28, I = 41, (0 0 6); 2θ 53.60, I = 39, (1 3 6)

Cell and atoms:
Unit cell a=5.922 b=8.534 c=13.761 alpha=90.00 beta=90.00 gamma=90.00
Space group Pbcm (No. 57)
Unique sites:
La: 0.148 0.106 0.099 [8 per cell]
La: 0.342 0.748 0.750 [4 per cell]
Al: 0.161 0.103 0.750 [4 per cell]
Al: 0.355 0.750 0.000 [4 per cell]
Pd: 0.380 0.035 0.592 [8 per cell]

=====

Starting from a structure optimized by DFT (GGA-PBE), the X-ray diffraction stick pattern of La2Al9Pd6 was calculated for λ = 1.5418 Å (Cu Kα).
Neutral-atom scattering factors, no anomalous dispersion.

The 8 most intense peaks (2θ from 10° to 80°), by angle:
2θ 19.77, I = 13, (1 0 1); 2θ 21.38, I = 36, (0 0 3); 2θ 32.22, I = 60, (1 1 0); 2θ 39.00, I = 100, (1 1 3); 2θ 43.57, I = 16, (0 0 6); 2θ 55.20, I = 25, (1 1 6); 2θ 62.01, I = 25, (3 0 3); 2θ 67.41, I = 13, (2 2 0)

Cell and atoms:
Unit cell a=5.5571 b=5.5571 c=12.4655 alpha=90.00 beta=90.00 gamma=120.00
Space group P6/mmm (No. 191)
Unique sites:
La: 0.0000 0.0000 0.1629 [2 per cell]
Al: 0.0000 0.5000 0.0000 [3 per cell]
Al: 0.0000 0.5000 0.3404 [6 per cell]
Pd: 0.3333 0.6667 0.1738 [4 per cell]
Pd: 0.3333 0.6667 0.5000 [2 per cell]

=====

Starting from a structure optimized by DFT (GGA-PBE), the X-ray diffraction stick pattern of LaTbAl2Pd5 was calculated for λ = 1.5418 Å (Cu Kα).
Neutral-atom scattering factors, no anomalous dispersion.

The 8 most intense peaks (2θ from 10° to 80°), by angle:
2θ 28.33, I = 10, (1 0 2); 2θ 35.27, I = 100, (1 1 2); 2θ 39.09, I = 15, (0 0 4); 2θ 41.86, I = 37, (2 0 0); 2θ 58.61, I = 19, (2 0 4); 2θ 60.69, I = 12, (2 2 0); 2θ 68.37, I = 13, (1 1 6); 2θ 72.19, I = 24, (3 1 2)

Cell and atoms:
Unit cell a=4.316 b=4.316 c=9.216 alpha=90.00 beta=90.00 gamma=90.00
Space group P4/mmm (No. 123)
Unique sites:
La: 0.000 0.000 0.000 [1 per cell]
Tb: 0.000 0.000 0.500 [1 per cell]
Al: 0.500 0.500 0.359 [2 per cell]
Pd: 0.000 0.500 0.230 [4 per cell]
Pd: 0.500 0.500 0.000 [1 per cell]

=====

Starting from a structure optimized by DFT (GGA-PBE), the X-ray diffraction stick pattern of La2TmAl3Pd4 was calculated for λ = 1.5418 Å (Cu Kα).
Neutral-atom scattering factors, no anomalous dispersion.

The 8 most intense peaks (2θ from 10° to 80°), by angle:
2θ 25.98, I = 20, (1 0 2); 2θ 31.98, I = 28, (1 0 3); 2θ 33.02, I = 100, (1 1 2); 2θ 40.70, I = 43, (2 0 0); 2θ 46.69, I = 16, (1 0 5); 2θ 52.67, I = 14, (2 1 3); 2θ 58.92, I = 14, (2 2 0); 2θ 69.23, I = 25, (3 1 2)

Cell and atoms:
Unit cell a=4.434 b=4.434 c=10.826 alpha=90.00 beta=90.00 gamma=90.00
Space group P-4m2 (No. 115)
Unique sites:
La: 0.000 0.500 0.233 [2 per cell]
Tm: 0.000 0.000 0.500 [1 per cell]
Al: 0.000 0.500 0.885 [2 per cell]
Al: 0.500 0.500 0.500 [1 per cell]
Pd: 0.000 0.000 0.000 [1 per cell]
Pd: 0.000 0.500 0.651 [2 per cell]
Pd: 0.500 0.500 0.000 [1 per cell]